Diffraction record for Mg6CrNiO8. The XRD peak list is calculated, not measured: it uses the PBE+U geometry in Alexandria and Cu Ka.

Top 10 peaks for 2θ from 10° to 90°, sorted by position:
2θ/deg  intensity  h k l
20.62  19  1 0 0
21.06  9  0 0 2
29.64  15  1 0 2
36.38  38  1 1 2
41.95  100  2 0 0
42.87  47  0 0 4
60.83  28  2 2 0
61.53  54  2 0 4
72.99  13  3 1 2
77.27  25  2 2 4

Atomic structure:
a b c (Å): 4.307 4.307 8.438
angles (deg): 90.00 90.00 90.00
Fractional positions:
Mg  0.000  0.000  0.000
Mg  0.000  0.000  0.500
Mg  0.000  0.500  0.248
Mg  0.000  0.500  0.752
Mg  0.500  0.000  0.248
Mg  0.500  0.000  0.752
Cr  0.500  0.500  0.500
Ni  0.500  0.500  0.000
O  0.000  0.000  0.250
O  0.000  0.000  0.750
O  0.000  0.500  0.000
O  0.000  0.500  0.500
O  0.500  0.000  0.000
O  0.500  0.000  0.500
O  0.500  0.500  0.252
O  0.500  0.500  0.748